For Er5TlCd2, a GGA-PBE-relaxed structure gives the calculated powder XRD pattern in this record (Cu Kα, 1.54184 Å).

Main lines, by angle (2θ from 10° to 90°):
two_theta, I_rel
29.0, 22
31.5, 100
32.7, 13
33.4, 31
36.2, 12
36.7, 53
52.1, 12
56.1, 12
62.1, 10
67.9, 13

Cell and atoms:
```
Er5TlCd2
1.0
-3.870 3.870 7.452
3.870 -3.870 7.452
3.870 3.870 -7.452
Er Tl Cd
10 2 4
direct
0.000 0.000 0.000 Er
0.007 0.507 0.823 Er
0.184 0.007 0.500 Er
0.316 0.816 0.823 Er
0.493 0.316 0.500 Er
0.500 0.500 0.000 Er
0.507 0.684 0.500 Er
0.684 0.184 0.177 Er
0.816 0.993 0.500 Er
0.993 0.493 0.177 Er
0.250 0.250 0.000 Tl
0.750 0.750 0.000 Tl
0.131 0.369 0.500 Cd
0.369 0.869 0.238 Cd
0.631 0.131 0.762 Cd
0.869 0.631 0.500 Cd
```